No. 1
Starting from a structure optimized by DFT (GGA-PBE), the powder X-ray diffraction pattern of Pr8ZnS3Cl4 was computed for CuKα.
Kinematic intensities with the Lorentz-polarization factor, no thermal factor.

Most intense lines, 15 to 90 degrees two-theta, by angle:
d = 3.507 Å, 2θ = 25.4°, I 13; d = 3.390 Å, 2θ = 26.3°, I 45; d = 2.960 Å, 2θ = 30.2°, I 100; d = 2.120 Å, 2θ = 42.6°, I 32; d = 2.067 Å, 2θ = 43.8°, I 37; d = 1.781 Å, 2θ = 51.3°, I 13; d = 1.695 Å, 2θ = 54.1°, I 18; d = 1.311 Å, 2θ = 72.1°, I 15

Structure:
```
Pr8ZnS3Cl4
1.0
4.135 2.387 7.015
-4.135 2.387 7.015
0.000 -4.774 7.015
Pr Zn S Cl
8 1 3 4
direct
0.234 0.744 0.744
0.237 0.237 0.237
0.256 0.256 0.766
0.256 0.766 0.256
0.744 0.234 0.744
0.744 0.744 0.234
0.763 0.763 0.763
0.766 0.256 0.256
0.500 0.500 0.500
0.000 0.000 0.500
0.000 0.500 0.000
0.500 0.000 0.000
0.000 0.000 0.000
0.000 0.500 0.500
0.500 0.000 0.500
0.500 0.500 0.000
```

No. 2
Starting from a structure optimized by DFT (GGA-PBE), the powder X-ray diffraction pattern of Pr4Se3Cl was computed for CuKα.
Kinematic intensities with the Lorentz-polarization factor, no thermal factor.

Most intense lines, 15 to 90 degrees two-theta, by angle:
d = 3.492 Å, 2θ = 25.5°, I 17; d = 2.994 Å, 2θ = 29.8°, I 100; d = 2.149 Å, 2θ = 42.0°, I 39; d = 2.087 Å, 2θ = 43.4°, I 35; d = 1.746 Å, 2θ = 52.4°, I 20; d = 1.355 Å, 2θ = 69.3°, I 17; d = 1.323 Å, 2θ = 71.3°, I 15; d = 1.228 Å, 2θ = 77.7°, I 12

Structure:
```
Pr4Se3Cl
1.0
2.149 1.241 13.439
-2.149 1.241 13.439
0.000 -2.482 13.439
Pr Se Cl
4 3 1
direct
0.123 0.123 0.123
0.376 0.376 0.376
0.624 0.624 0.624
0.877 0.877 0.877
0.252 0.252 0.252
0.500 0.500 0.500
0.748 0.748 0.748
0.000 0.000 0.000
```

No. 3
Starting from a structure optimized by DFT (GGA-PBE), the powder X-ray diffraction pattern of PrSeCl was computed for CuKα.
Kinematic intensities with the Lorentz-polarization factor, no thermal factor.

Most intense lines, 15 to 90 degrees two-theta, by angle:
d = 3.595 Å, 2θ = 24.8°, I 62; d = 2.913 Å, 2θ = 30.7°, I 86; d = 2.817 Å, 2θ = 31.8°, I 98; d = 2.505 Å, 2θ = 35.8°, I 100; d = 2.284 Å, 2θ = 39.4°, I 91; d = 2.108 Å, 2θ = 42.9°, I 50; d = 2.060 Å, 2θ = 44.0°, I 61; d = 1.591 Å, 2θ = 58.0°, I 49

Structure:
```
PrSeCl
1.0
-2.060 2.060 11.043
2.060 -2.060 11.043
2.060 2.060 -11.043
Pr Se Cl
2 2 2
direct
0.159 0.159 0.000
0.841 0.841 0.000
0.299 0.299 0.000
0.701 0.701 0.000
0.571 0.071 0.500
0.929 0.429 0.500
```

No. 4
Starting from a structure optimized by DFT (GGA-PBE), the powder X-ray diffraction pattern of Pr3Si2Cl was computed for CuKα.
Kinematic intensities with the Lorentz-polarization factor, no thermal factor.

Most intense lines, 15 to 90 degrees two-theta, by angle:
d = 3.473 Å, 2θ = 25.7°, I 100; d = 3.012 Å, 2θ = 29.7°, I 87; d = 2.999 Å, 2θ = 29.8°, I 43; d = 2.127 Å, 2θ = 42.5°, I 96; d = 1.816 Å, 2θ = 50.3°, I 34; d = 1.736 Å, 2θ = 52.7°, I 34; d = 1.346 Å, 2θ = 69.9°, I 29; d = 1.229 Å, 2θ = 77.7°, I 21

Structure:
```
Pr3Si2Cl
1.0
-2.130 2.130 8.997
2.130 -2.130 8.997
2.130 2.130 -8.997
Pr Si Cl
3 2 1
direct
0.000 0.000 0.000
0.332 0.332 0.000
0.668 0.668 0.000
0.162 0.162 0.000
0.838 0.838 0.000
0.500 0.500 0.000
```

No. 5
Starting from a structure optimized by DFT (GGA-PBE), the powder X-ray diffraction pattern of TbPrCl6 was computed for CuKα.
Kinematic intensities with the Lorentz-polarization factor, no thermal factor.

Most intense lines, 15 to 90 degrees two-theta, by angle:
d = 5.030 Å, 2θ = 17.6°, I 100; d = 3.695 Å, 2θ = 24.1°, I 39; d = 3.013 Å, 2θ = 29.6°, I 20; d = 2.515 Å, 2θ = 35.7°, I 19; d = 2.319 Å, 2θ = 38.8°, I 45; d = 2.186 Å, 2θ = 41.3°, I 20; d = 1.982 Å, 2θ = 45.8°, I 21; d = 1.626 Å, 2θ = 56.6°, I 19

Structure:
```
TbPrCl6
1.0
3.433 1.982 6.289
-3.433 1.982 6.289
0.000 -3.964 6.289
Tb Pr Cl
1 1 6
direct
0.000 0.000 0.000
0.500 0.500 0.500
0.096 0.392 0.757
0.243 0.904 0.608
0.392 0.757 0.096
0.608 0.243 0.904
0.757 0.096 0.392
0.904 0.608 0.243
```

No. 6
Starting from a structure optimized by DFT (GGA-PBE), the powder X-ray diffraction pattern of Pr3TeCl3 was computed for CuKα.
Kinematic intensities with the Lorentz-polarization factor, no thermal factor.

Most intense lines, 15 to 90 degrees two-theta, by angle:
d = 3.441 Å, 2θ = 25.9°, I 42; d = 2.975 Å, 2θ = 30.0°, I 100; d = 2.496 Å, 2θ = 36.0°, I 23; d = 2.109 Å, 2θ = 42.9°, I 34; d = 2.098 Å, 2θ = 43.1°, I 39; d = 1.721 Å, 2θ = 53.2°, I 17; d = 1.488 Å, 2θ = 62.4°, I 13; d = 1.328 Å, 2θ = 71.0°, I 13

Structure:
```
Pr3TeCl3
1.0
3.653 2.109 10.252
-3.653 2.109 10.252
0.000 -4.219 10.252
Pr Te Cl
6 2 6
direct
0.059 0.366 0.752
0.248 0.941 0.634
0.366 0.752 0.059
0.634 0.248 0.941
0.752 0.059 0.366
0.941 0.634 0.248
0.333 0.333 0.333
0.667 0.667 0.667
0.111 0.763 0.461
0.237 0.539 0.889
0.461 0.111 0.763
0.539 0.889 0.237
0.763 0.461 0.111
0.889 0.237 0.539
```

No. 7
Starting from a structure optimized by DFT (GGA-PBE), the powder X-ray diffraction pattern of Pr2TlCl7 was computed for CuKα.
Kinematic intensities with the Lorentz-polarization factor, no thermal factor.

Most intense lines, 15 to 90 degrees two-theta, by angle:
d = 4.432 Å, 2θ = 20.0°, I 100; d = 4.410 Å, 2θ = 20.1°, I 78; d = 4.334 Å, 2θ = 20.5°, I 72; d = 4.138 Å, 2θ = 21.5°, I 86; d = 3.091 Å, 2θ = 28.9°, I 50; d = 2.751 Å, 2θ = 32.5°, I 95; d = 2.550 Å, 2θ = 35.2°, I 51; d = 2.409 Å, 2θ = 37.3°, I 63

Structure:
```
Pr2TlCl7
1.0
4.410 -7.029 0.000
4.410 7.029 0.000
0.000 0.000 5.506
Pr Tl Cl
2 1 7
direct
0.198 0.802 0.000
0.802 0.198 0.000
0.500 0.500 0.500
0.000 0.000 0.000
0.175 0.449 0.000
0.218 0.782 0.500
0.449 0.175 0.000
0.551 0.825 0.000
0.782 0.218 0.500
0.825 0.551 0.000
```

No. 8
Starting from a structure optimized by DFT (GGA-PBE), the powder X-ray diffraction pattern of PrTlCl4 was computed for CuKα.
Kinematic intensities with the Lorentz-polarization factor, no thermal factor.

Most intense lines, 15 to 90 degrees two-theta, by angle:
d = 4.163 Å, 2θ = 21.3°, I 100; d = 3.840 Å, 2θ = 23.2°, I 41; d = 3.725 Å, 2θ = 23.9°, I 52; d = 3.640 Å, 2θ = 24.5°, I 52; d = 2.642 Å, 2θ = 33.9°, I 87; d = 2.274 Å, 2θ = 39.6°, I 34; d = 2.269 Å, 2θ = 39.7°, I 71; d = 2.181 Å, 2θ = 41.4°, I 32

Structure:
```
PrTlCl4
1.0
7.680 0.000 0.000
0.000 4.362 0.000
0.000 0.000 19.817
Pr Tl Cl
4 4 16
direct
0.248 0.250 0.059
0.252 0.750 0.559
0.748 0.250 0.441
0.752 0.750 0.941
0.210 0.750 0.292
0.290 0.250 0.792
0.710 0.750 0.208
0.790 0.250 0.708
0.009 0.750 0.438
0.093 0.750 0.693
0.095 0.750 0.134
0.142 0.750 0.964
0.358 0.250 0.464
0.405 0.250 0.634
0.407 0.250 0.193
0.491 0.250 0.938
0.509 0.750 0.062
0.593 0.750 0.807
0.595 0.750 0.366
0.642 0.750 0.536
0.858 0.250 0.036
0.905 0.250 0.866
0.907 0.250 0.307
0.991 0.250 0.562
```

No. 9
Starting from a structure optimized by DFT (GGA-PBE), the powder X-ray diffraction pattern of PrZnCl6 was computed for CuKα.
Kinematic intensities with the Lorentz-polarization factor, no thermal factor.

Most intense lines, 15 to 90 degrees two-theta, by angle:
d = 4.765 Å, 2θ = 18.6°, I 100; d = 3.549 Å, 2θ = 25.1°, I 47; d = 2.848 Å, 2θ = 31.4°, I 47; d = 2.665 Å, 2θ = 33.6°, I 21; d = 2.222 Å, 2θ = 40.6°, I 31; d = 2.218 Å, 2θ = 40.7°, I 26; d = 2.052 Å, 2θ = 44.1°, I 20; d = 1.856 Å, 2θ = 49.1°, I 26

Structure:
```
PrZnCl6
1.0
6.428 0.000 0.000
3.207 5.571 0.000
3.206 1.842 6.139
Pr Zn Cl
1 1 6
direct
0.000 0.000 0.000
0.500 0.500 0.500
0.105 0.432 0.735
0.271 0.896 0.266
0.433 0.728 0.736
0.567 0.272 0.264
0.729 0.104 0.734
0.895 0.568 0.265
```

No. 10
Starting from a structure optimized by DFT (GGA-PBE), the powder X-ray diffraction pattern of Pt3Cl5 was computed for CuKα.
Kinematic intensities with the Lorentz-polarization factor, no thermal factor.

Most intense lines, 15 to 90 degrees two-theta, by angle:
d = 4.912 Å, 2θ = 18.1°, I 68; d = 4.700 Å, 2θ = 18.9°, I 100; d = 4.670 Å, 2θ = 19.0°, I 35; d = 4.035 Å, 2θ = 22.0°, I 28; d = 3.561 Å, 2θ = 25.0°, I 36; d = 3.215 Å, 2θ = 27.8°, I 29; d = 3.190 Å, 2θ = 28.0°, I 50; d = 2.457 Å, 2θ = 36.6°, I 31

Structure:
```
Pt3Cl5
1.0
6.555 0.000 0.000
-0.162 7.902 0.000
-1.411 -3.535 9.084
Pt Cl
6 10
direct
0.000 0.000 0.000
0.031 0.493 0.012
0.134 0.431 0.497
0.629 0.697 0.121
0.685 0.249 0.386
0.899 0.770 0.740
0.089 0.194 0.890
0.206 0.628 0.740
0.351 0.544 0.157
0.431 0.291 0.533
0.593 0.940 0.331
0.604 0.909 0.721
0.681 0.451 0.915
0.813 0.561 0.479
0.964 0.802 0.118
0.976 0.232 0.261
```

No. 11
Starting from a structure optimized by DFT (GGA-PBE), the powder X-ray diffraction pattern of PtCl4 was computed for CuKα.
Kinematic intensities with the Lorentz-polarization factor, no thermal factor.

Most intense lines, 15 to 90 degrees two-theta, by angle:
d = 4.555 Å, 2θ = 19.5°, I 69; d = 4.418 Å, 2θ = 20.1°, I 80; d = 3.632 Å, 2θ = 24.5°, I 43; d = 2.931 Å, 2θ = 30.5°, I 100; d = 2.689 Å, 2θ = 33.3°, I 50; d = 2.348 Å, 2θ = 38.3°, I 32; d = 2.281 Å, 2θ = 39.5°, I 59; d = 1.810 Å, 2θ = 50.4°, I 34

Structure:
```
PtCl4
1.0
6.179 -3.872 0.000
6.179 3.872 0.000
-0.355 0.000 6.145
Pt Cl
2 8
direct
0.112 0.888 0.750
0.888 0.112 0.250
0.003 0.785 0.419
0.208 0.570 0.885
0.215 0.997 0.081
0.430 0.792 0.615
0.570 0.208 0.385
0.785 0.003 0.919
0.792 0.430 0.115
0.997 0.215 0.581
```

No. 12
Starting from a structure optimized by DFT (GGA-PBE), the powder X-ray diffraction pattern of Rb3Pt2Cl9 was computed for CuKα.
Kinematic intensities with the Lorentz-polarization factor, no thermal factor.

Most intense lines, 15 to 90 degrees two-theta, by angle:
d = 5.870 Å, 2θ = 15.1°, I 100; d = 3.573 Å, 2θ = 24.9°, I 58; d = 3.177 Å, 2θ = 28.1°, I 50; d = 2.765 Å, 2θ = 32.4°, I 29; d = 2.572 Å, 2θ = 34.9°, I 23; d = 2.374 Å, 2θ = 37.9°, I 31; d = 1.978 Å, 2θ = 45.9°, I 31; d = 1.787 Å, 2θ = 51.1°, I 25

Structure:
```
Rb3Pt2Cl9
1.0
7.147 0.000 0.000
-3.573 6.189 0.000
0.000 0.000 18.512
Rb Pt Cl
6 4 18
direct
0.000 0.000 0.250
0.000 0.000 0.750
0.333 0.667 0.063
0.333 0.667 0.437
0.667 0.333 0.563
0.667 0.333 0.937
0.333 0.667 0.665
0.333 0.667 0.835
0.667 0.333 0.165
0.667 0.333 0.335
0.019 0.510 0.750
0.174 0.347 0.592
0.174 0.347 0.908
0.174 0.826 0.592
0.174 0.826 0.908
0.347 0.174 0.092
0.347 0.174 0.408
0.490 0.510 0.750
0.490 0.981 0.750
0.510 0.019 0.250
0.510 0.490 0.250
0.653 0.826 0.592
0.653 0.826 0.908
0.826 0.174 0.092
0.826 0.174 0.408
0.826 0.653 0.092
0.826 0.653 0.408
0.981 0.490 0.250
```